Ba3Fe2TcO9: theoretical X-ray powder pattern (CuKα), based on a PBE+U-relaxed structure.
Peak positions follow from Bragg's law for the DFT cell and can differ from measured ones.

Crystal structure
```
data_Ba3Fe2TcO9
_cell_length_a 5.7628
_cell_length_b 5.7628
_cell_length_c 7.0764
_cell_angle_alpha 90.00
_cell_angle_beta 90.00
_cell_angle_gamma 120.00
_symmetry_space_group_name_H-M 'P -3 m 1'
_symmetry_Int_Tables_number 164
_symmetry_space_group_name_Hall '-P 3 2"'
loop_
_atom_site_label
_atom_site_type_symbol
_atom_site_fract_x
_atom_site_fract_y
_atom_site_fract_z
Ba1 Ba 0.0000 0.0000 0.0000
Ba2 Ba 0.3333 0.6667 0.6747
Fe1 Fe 0.3333 0.6667 0.1528
Tc1 Tc 0.0000 0.0000 0.5000
O1 O 0.0000 0.5000 0.0000
O2 O 0.1605 0.3210 0.3419
```

Largest 8 diffraction maxima, by intensity, 2θ from 10° to 90°:
2θ 31.0, intensity 100
2θ 44.4, intensity 32
2θ 55.2, intensity 29
2θ 73.4, intensity 17
2θ 38.2, intensity 13
2θ 64.7, intensity 10
2θ 64.6, intensity 9
2θ 55.1, intensity 9